# ScGa3Pd4
Simulated XRD peak list, a wavelength of 1.5418 Å. Input: a cell relaxed with PBE.
No peak broadening, texture or thermal motion is included.

Top 12 peaks for 5 to 70 degrees two-theta, low angle first:
- 2θ 12.2, intensity 3
- 2θ 23.3, intensity 2
- 2θ 28.3, intensity 14
- 2θ 37.1, intensity 3
- 2θ 37.3, intensity 3
- 2θ 40.3, intensity 100
- 2θ 40.6, intensity 89
- 2θ 50.0, intensity 3
- 2θ 56.1, intensity 5
- 2θ 58.5, intensity 30
- 2θ 66.1, intensity 3
- 2θ 66.4, intensity 2

Structure:
Cell: 7.685 7.685 7.685 Å, 33.85 33.85 33.85°
Sites, in units of the cell vectors:
Sc 0.000 0.000 0.000
Ga 0.256 0.256 0.256
Ga 0.500 0.500 0.500
Ga 0.744 0.744 0.744
Pd 0.130 0.130 0.130
Pd 0.384 0.384 0.384
Pd 0.616 0.616 0.616
Pd 0.870 0.870 0.870



# Sc4GaPd2
Simulated XRD peak list, a wavelength of 1.5418 Å. Input: a cell relaxed with PBE.
No peak broadening, texture or thermal motion is included.

Top 12 peaks for 5 to 70 degrees two-theta, low angle first:
- 2θ 11.8, intensity 15
- 2θ 22.4, intensity 8
- 2θ 23.4, intensity 34
- 2θ 23.7, intensity 13
- 2θ 27.2, intensity 14
- 2θ 35.7, intensity 11
- 2θ 38.6, intensity 100
- 2θ 39.0, intensity 93
- 2θ 45.7, intensity 5
- 2θ 45.8, intensity 13
- 2θ 56.0, intensity 31
- 2θ 69.9, intensity 16

Structure:
Cell: 7.982 7.982 7.982 Å, 33.96 33.96 33.96°
Sites, in units of the cell vectors:
Sc 0.118 0.118 0.118
Sc 0.371 0.371 0.371
Sc 0.629 0.629 0.629
Sc 0.882 0.882 0.882
Ga 0.500 0.500 0.500
Pd 0.246 0.246 0.246
Pd 0.754 0.754 0.754



# Sc4GaPd3
Simulated XRD peak list, a wavelength of 1.5418 Å. Input: a cell relaxed with PBE.
No peak broadening, texture or thermal motion is included.

Top 12 peaks for 5 to 70 degrees two-theta, low angle first:
- 2θ 22.2, intensity 1
- 2θ 23.2, intensity 1
- 2θ 26.8, intensity 18
- 2θ 29.2, intensity 1
- 2θ 35.0, intensity 1
- 2θ 38.3, intensity 100
- 2θ 47.3, intensity 5
- 2θ 52.8, intensity 1
- 2θ 55.2, intensity 16
- 2θ 62.4, intensity 7
- 2θ 69.2, intensity 24
- 2θ 69.2, intensity 8

Structure:
Cell: 8.156 8.156 8.156 Å, 33.51 33.51 33.51°
Sites, in units of the cell vectors:
Sc 0.123 0.123 0.123
Sc 0.373 0.373 0.373
Sc 0.627 0.627 0.627
Sc 0.877 0.877 0.877
Ga 0.500 0.500 0.500
Pd 0.000 0.000 0.000
Pd 0.246 0.246 0.246
Pd 0.754 0.754 0.754



# Sc6Ga2Pd
Simulated XRD peak list, a wavelength of 1.5418 Å. Input: a cell relaxed with PBE.
No peak broadening, texture or thermal motion is included.

Top 12 peaks for 5 to 70 degrees two-theta, low angle first:
- 2θ 18.7, intensity 24
- 2θ 19.6, intensity 42
- 2θ 20.1, intensity 18
- 2θ 34.1, intensity 80
- 2θ 36.1, intensity 50
- 2θ 37.3, intensity 100
- 2θ 37.7, intensity 61
- 2θ 39.7, intensity 48
- 2θ 40.7, intensity 24
- 2θ 41.3, intensity 21
- 2θ 47.2, intensity 21
- 2θ 63.3, intensity 26

Structure:
Cell: 7.905 7.905 7.905 Å, 112.16 109.96 106.35°
Sites, in units of the cell vectors:
Sc 0.039 0.827 0.212
Sc 0.258 0.566 0.308
Sc 0.258 0.949 0.692
Sc 0.270 0.320 0.590
Sc 0.270 0.680 0.949
Sc 0.385 0.173 0.212
Sc 0.615 0.827 0.788
Sc 0.730 0.320 0.051
Sc 0.730 0.680 0.410
Sc 0.742 0.051 0.308
Sc 0.742 0.434 0.692
Sc 0.961 0.173 0.788
Ga 0.000 0.154 0.154
Ga 0.000 0.846 0.846
Ga 0.370 0.370 0.000
Ga 0.630 0.630 0.000
Pd 0.000 0.500 0.500
Pd 0.500 0.000 0.500



# Sc7GaPd4
Simulated XRD peak list, a wavelength of 1.5418 Å. Input: a cell relaxed with PBE.
No peak broadening, texture or thermal motion is included.

Top 12 peaks for 5 to 70 degrees two-theta, low angle first:
- 2θ 19.1, intensity 25
- 2θ 27.2, intensity 33
- 2θ 31.9, intensity 30
- 2θ 34.8, intensity 100
- 2θ 37.7, intensity 35
- 2θ 38.4, intensity 45
- 2θ 39.9, intensity 90
- 2θ 42.7, intensity 18
- 2θ 47.9, intensity 18
- 2θ 52.2, intensity 16
- 2θ 56.2, intensity 17
- 2θ 65.8, intensity 19

Structure:
Cell: 7.193 7.193 8.940 Å, 124.10 124.10 42.04°
Sites, in units of the cell vectors:
Sc 0.000 0.000 0.000
Sc 0.228 0.228 0.681
Sc 0.281 0.281 0.117
Sc 0.437 0.437 0.627
Sc 0.563 0.563 0.373
Sc 0.719 0.719 0.883
Sc 0.772 0.772 0.319
Ga 0.500 0.500 0.000
Pd 0.067 0.067 0.757
Pd 0.199 0.199 0.355
Pd 0.801 0.801 0.645
Pd 0.933 0.933 0.243



# Sc5Ga2Pd12
Simulated XRD peak list, a wavelength of 1.5418 Å. Input: a cell relaxed with PBE.
No peak broadening, texture or thermal motion is included.

Top 12 peaks for 5 to 70 degrees two-theta, low angle first:
- 2θ 19.7, intensity 37
- 2θ 24.8, intensity 30
- 2θ 35.3, intensity 28
- 2θ 37.8, intensity 66
- 2θ 38.6, intensity 100
- 2θ 40.1, intensity 52
- 2θ 41.6, intensity 40
- 2θ 43.8, intensity 25
- 2θ 44.8, intensity 28
- 2θ 46.1, intensity 21
- 2θ 52.8, intensity 25
- 2θ 62.0, intensity 20

Structure:
Cell: 8.411 8.411 9.131 Å, 114.66 114.66 37.78°
Sites, in units of the cell vectors:
Sc 0.000 0.000 0.000
Sc 0.319 0.319 0.130
Sc 0.337 0.337 0.631
Sc 0.663 0.663 0.369
Sc 0.681 0.681 0.870
Ga 0.252 0.748 0.500
Ga 0.748 0.252 0.500
Pd 0.067 0.580 0.382
Pd 0.081 0.081 0.784
Pd 0.089 0.592 0.896
Pd 0.408 0.911 0.104
Pd 0.420 0.933 0.618
Pd 0.495 0.495 0.148
Pd 0.505 0.505 0.852
Pd 0.580 0.067 0.382
Pd 0.592 0.089 0.896
Pd 0.911 0.408 0.104
Pd 0.919 0.919 0.216
Pd 0.933 0.420 0.618



# Sc2GaPd4
Simulated XRD peak list, a wavelength of 1.5418 Å. Input: a cell relaxed with PBE.
No peak broadening, texture or thermal motion is included.

Top 12 peaks for 5 to 70 degrees two-theta, low angle first:
- 2θ 12.2, intensity 9
- 2θ 23.4, intensity 7
- 2θ 28.3, intensity 54
- 2θ 30.9, intensity 4
- 2θ 40.4, intensity 100
- 2θ 40.6, intensity 99
- 2θ 42.4, intensity 3
- 2θ 50.1, intensity 11
- 2θ 50.3, intensity 4
- 2θ 58.6, intensity 32
- 2θ 66.2, intensity 10
- 2θ 66.4, intensity 10

Structure:
Cell: 7.697 7.697 7.697 Å, 33.71 33.71 33.71°
Sites, in units of the cell vectors:
Sc 0.248 0.248 0.248
Sc 0.752 0.752 0.752
Ga 0.000 0.000 0.000
Pd 0.125 0.125 0.125
Pd 0.375 0.375 0.375
Pd 0.625 0.625 0.625
Pd 0.875 0.875 0.875



# Sc3GaPd2
Simulated XRD peak list, a wavelength of 1.5418 Å. Input: a cell relaxed with PBE.
No peak broadening, texture or thermal motion is included.

Top 12 peaks for 5 to 70 degrees two-theta, low angle first:
- 2θ 8.6, intensity 6
- 2θ 26.0, intensity 9
- 2θ 27.2, intensity 16
- 2θ 38.0, intensity 100
- 2θ 38.8, intensity 47
- 2θ 47.4, intensity 8
- 2θ 53.5, intensity 9
- 2θ 56.1, intensity 15
- 2θ 61.1, intensity 4
- 2θ 62.8, intensity 3
- 2θ 68.1, intensity 17
- 2θ 69.8, intensity 31

Structure:
Cell: 3.279 3.279 10.274 Å, 90.00 90.00 90.00°
Sites, in units of the cell vectors:
Sc 0.000 0.000 0.000
Sc 0.000 0.000 0.329
Sc 0.000 0.000 0.671
Ga 0.500 0.500 0.500
Pd 0.500 0.500 0.168
Pd 0.500 0.500 0.832



# Sc3GaPd12
Simulated XRD peak list, a wavelength of 1.5418 Å. Input: a cell relaxed with PBE.
No peak broadening, texture or thermal motion is included.

Top 12 peaks for 5 to 70 degrees two-theta, low angle first:
- 2θ 5.6, intensity 2
- 2θ 22.2, intensity 5
- 2θ 22.5, intensity 2
- 2θ 31.6, intensity 2
- 2θ 31.8, intensity 4
- 2θ 39.1, intensity 100
- 2θ 45.3, intensity 33
- 2θ 45.8, intensity 15
- 2θ 51.1, intensity 1
- 2θ 56.4, intensity 2
- 2θ 66.1, intensity 10
- 2θ 66.4, intensity 20

Structure:
Cell: 4.000 4.000 15.838 Å, 90.00 90.00 90.00°
Sites, in units of the cell vectors:
Sc 0.000 0.000 0.000
Sc 0.000 0.000 0.254
Sc 0.000 0.000 0.746
Ga 0.000 0.000 0.500
Pd 0.000 0.500 0.127
Pd 0.000 0.500 0.380
Pd 0.000 0.500 0.620
Pd 0.000 0.500 0.873
Pd 0.500 0.000 0.127
Pd 0.500 0.000 0.380
Pd 0.500 0.000 0.620
Pd 0.500 0.000 0.873
Pd 0.500 0.500 0.000
Pd 0.500 0.500 0.253
Pd 0.500 0.500 0.500
Pd 0.500 0.500 0.747



# YScGa2Pd2
Simulated XRD peak list, a wavelength of 1.5418 Å. Input: a cell relaxed with PBE.
No peak broadening, texture or thermal motion is included.

Top 12 peaks for 5 to 70 degrees two-theta, low angle first:
- 2θ 23.0, intensity 3
- 2θ 26.8, intensity 23
- 2θ 27.1, intensity 15
- 2θ 35.9, intensity 100
- 2θ 40.5, intensity 95
- 2θ 41.2, intensity 7
- 2θ 49.2, intensity 4
- 2θ 49.4, intensity 18
- 2θ 55.2, intensity 28
- 2θ 56.0, intensity 8
- 2θ 59.1, intensity 14
- 2θ 65.5, intensity 4

Structure:
Cell: 4.460 4.460 6.573 Å, 90.00 90.00 120.00°
Sites, in units of the cell vectors:
Y 0.000 0.000 0.000
Sc 0.000 0.000 0.500
Ga 0.333 0.667 0.719
Ga 0.667 0.333 0.281
Pd 0.333 0.667 0.280
Pd 0.667 0.333 0.720



# GaPd4Se
Simulated XRD peak list, a wavelength of 1.5418 Å. Input: a cell relaxed with PBE.
No peak broadening, texture or thermal motion is included.

Top 12 peaks for 5 to 70 degrees two-theta, low angle first:
- 2θ 25.3, intensity 37
- 2θ 35.9, intensity 60
- 2θ 37.7, intensity 45
- 2θ 38.0, intensity 93
- 2θ 40.6, intensity 52
- 2θ 40.9, intensity 30
- 2θ 41.3, intensity 100
- 2θ 41.7, intensity 33
- 2θ 41.8, intensity 31
- 2θ 46.4, intensity 36
- 2θ 51.9, intensity 29
- 2θ 56.3, intensity 45

Structure:
Cell: 4.577 7.041 6.515 Å, 90.00 96.23 90.00°
Sites, in units of the cell vectors:
Ga 0.227 0.250 0.029
Ga 0.773 0.750 0.971
Pd 0.116 0.250 0.543
Pd 0.160 0.546 0.820
Pd 0.160 0.954 0.820
Pd 0.343 0.750 0.185
Pd 0.657 0.250 0.815
Pd 0.840 0.046 0.180
Pd 0.840 0.454 0.180
Pd 0.884 0.750 0.457
Se 0.403 0.750 0.573
Se 0.597 0.250 0.427



# SmGa2SiPd4
Simulated XRD peak list, a wavelength of 1.5418 Å. Input: a cell relaxed with PBE.
No peak broadening, texture or thermal motion is included.

Top 12 peaks for 5 to 70 degrees two-theta, low angle first:
- 2θ 29.5, intensity 28
- 2θ 34.2, intensity 66
- 2θ 36.8, intensity 60
- 2θ 41.8, intensity 100
- 2θ 42.1, intensity 8
- 2θ 45.7, intensity 12
- 2θ 52.0, intensity 6
- 2θ 53.4, intensity 7
- 2θ 55.0, intensity 17
- 2θ 56.9, intensity 17
- 2θ 60.8, intensity 15
- 2θ 70.0, intensity 19

Structure:
Cell: 8.940 8.940 8.940 Å, 27.99 27.99 27.99°
Sites, in units of the cell vectors:
Sm 0.000 0.000 0.000
Ga 0.251 0.251 0.251
Ga 0.749 0.749 0.749
Si 0.500 0.500 0.500
Pd 0.138 0.138 0.138
Pd 0.407 0.407 0.407
Pd 0.593 0.593 0.593
Pd 0.862 0.862 0.862



# SrGa2SiPd4
Simulated XRD peak list, a wavelength of 1.5418 Å. Input: a cell relaxed with PBE.
No peak broadening, texture or thermal motion is included.

Top 12 peaks for 5 to 70 degrees two-theta, low angle first:
- 2θ 9.6, intensity 43
- 2θ 19.3, intensity 8
- 2θ 28.8, intensity 25
- 2θ 33.0, intensity 71
- 2θ 35.4, intensity 37
- 2θ 39.2, intensity 12
- 2θ 41.8, intensity 100
- 2θ 43.5, intensity 28
- 2θ 54.3, intensity 17
- 2θ 55.9, intensity 10
- 2θ 58.7, intensity 22
- 2θ 61.9, intensity 10

Structure:
Cell: 9.520 9.520 9.520 Å, 26.24 26.24 26.24°
Sites, in units of the cell vectors:
Sr 0.000 0.000 0.000
Ga 0.246 0.246 0.246
Ga 0.754 0.754 0.754
Si 0.500 0.500 0.500
Pd 0.140 0.140 0.140
Pd 0.414 0.414 0.414
Pd 0.586 0.586 0.586
Pd 0.860 0.860 0.860



# Sr2GaSi3Pd4
Simulated XRD peak list, a wavelength of 1.5418 Å. Input: a cell relaxed with PBE.
No peak broadening, texture or thermal motion is included.

Top 12 peaks for 5 to 70 degrees two-theta, low angle first:
- 2θ 27.0, intensity 7
- 2θ 27.1, intensity 12
- 2θ 30.1, intensity 17
- 2θ 34.0, intensity 100
- 2θ 41.0, intensity 45
- 2θ 46.9, intensity 17
- 2θ 49.8, intensity 10
- 2θ 50.5, intensity 13
- 2θ 54.3, intensity 17
- 2θ 59.4, intensity 15
- 2θ 63.8, intensity 8
- 2θ 67.0, intensity 11

Structure:
Cell: 4.398 4.398 9.908 Å, 90.00 90.00 90.00°
Sites, in units of the cell vectors:
Sr 0.000 0.500 0.250
Sr 0.500 0.000 0.750
Ga 0.000 0.000 0.500
Si 0.000 0.500 0.882
Si 0.500 0.000 0.118
Si 0.500 0.500 0.500
Pd 0.000 0.000 0.000
Pd 0.000 0.500 0.632
Pd 0.500 0.000 0.368
Pd 0.500 0.500 0.000